Entry 1:
Structure and simulated powder diffractogram of Tl2HgPdCl6 (a crystal structure in OQMD, relaxed with PBE; Cu Kα, 1.54184 Å).
Lines closer than 0.1° are merged.

Most intense lines, 2θ from 10° to 90°, most intense first:
| 2theta | intensity |
| --- | --- |
| 24.53 | 100.0 |
| 43.18 | 46.4 |
| 34.97 | 42.7 |
| 50.29 | 29.6 |
| 68.40 | 24.8 |
| 56.72 | 21.7 |

Atomic structure:
Lattice parameters (Å, degrees): 7.258 7.258 7.258 60.00 60.00 60.00
Atoms (fractional coordinates):
Tl1 0.250 0.250 0.250
Tl2 0.750 0.750 0.750
Hg1 0.000 0.000 0.000
Pd1 0.500 0.500 0.500
Cl1 0.261 0.261 0.739
Cl2 0.261 0.739 0.261
Cl3 0.261 0.739 0.739
Cl4 0.739 0.261 0.261
Cl5 0.739 0.261 0.739
Cl6 0.739 0.739 0.261


Entry 2:
Structure and simulated powder diffractogram of Rb2Hg2PtCl8 (a crystal structure in OQMD, relaxed with PBE; Cu Kα, 1.54184 Å).
Lines closer than 0.1° are merged.

Most intense lines, 2θ from 10° to 90°, most intense first:
| 2theta | intensity |
| --- | --- |
| 29.55 | 100.0 |
| 15.25 | 91.4 |
| 26.46 | 78.9 |
| 26.00 | 62.7 |
| 15.75 | 50.3 |
| 27.35 | 45.5 |

Atomic structure:
Lattice parameters (Å, degrees): 6.744 6.744 10.115 106.66 106.66 61.08
Atoms (fractional coordinates):
Rb1 0.107 0.107 0.333
Rb2 0.893 0.893 0.667
Hg1 0.368 0.368 0.100
Hg2 0.632 0.632 0.900
Pt1 0.500 0.500 0.500
Cl1 0.134 0.608 0.365
Cl2 0.153 0.153 0.000
Cl3 0.392 0.866 0.635
Cl4 0.417 0.417 0.813
Cl5 0.583 0.583 0.187
Cl6 0.608 0.134 0.365
Cl7 0.847 0.847 0.000
Cl8 0.866 0.392 0.635


Entry 3:
Structure and simulated powder diffractogram of RbHg2Cl5 (a crystal structure in OQMD, relaxed with PBE; Cu Kα, 1.54184 Å).
Lines closer than 0.1° are merged.

Most intense lines, 2θ from 10° to 90°, most intense first:
| 2theta | intensity |
| --- | --- |
| 23.13 | 100.0 |
| 11.23 | 97.8 |
| 30.32 | 73.1 |
| 22.96 | 72.5 |
| 23.89 | 45.8 |
| 22.11 | 37.4 |

Atomic structure:
Lattice parameters (Å, degrees): 8.278 5.896 10.791 90.00 107.81 90.00
Atoms (fractional coordinates):
Rb1 0.047 0.250 0.253
Rb2 0.953 0.750 0.747
Hg1 0.361 0.750 0.560
Hg2 0.455 0.750 0.135
Hg3 0.545 0.250 0.865
Hg4 0.639 0.250 0.440
Cl1 0.074 0.750 0.421
Cl2 0.158 0.750 0.092
Cl3 0.263 0.250 0.868
Cl4 0.399 0.250 0.558
Cl5 0.457 0.250 0.213
Cl6 0.543 0.750 0.787
Cl7 0.601 0.750 0.442
Cl8 0.737 0.750 0.132
Cl9 0.842 0.250 0.908
Cl10 0.926 0.250 0.579